(1)
For RbMgNpF6, a cell relaxed with GGA-PBE gives the computed XRD peak list in this record (Cu Kα, 1.54184 Å).
Kinematic intensities with the Lorentz-polarization factor, no thermal factor.

Structure:
a b c (Å): 7.485 7.485 7.485
angles (deg): 120.64 116.30 92.71
Fractional positions:
Rb: 0.334 0.084 0.250
Rb: 0.666 0.916 0.750
Mg: 0.000 0.000 0.500
Mg: 0.000 0.500 0.000
Np: 0.000 0.500 0.500
Np: 0.500 0.500 0.000
F: 0.049 0.346 0.163
F: 0.049 0.886 0.703
F: 0.071 0.321 0.750
F: 0.317 0.114 0.663
F: 0.317 0.654 0.203
F: 0.369 0.619 0.750
F: 0.631 0.381 0.250
F: 0.683 0.346 0.797
F: 0.683 0.886 0.337
F: 0.929 0.679 0.250
F: 0.951 0.114 0.297
F: 0.951 0.654 0.837

Most intense lines, 10° ≤ 2θ ≤ 90°, sorted by position:
2θ = 14.71°, I = 78
2θ = 17.16°, I = 56
2θ = 24.01°, I = 28
2θ = 26.99°, I = 100
2θ = 28.44°, I = 31
2θ = 28.58°, I = 24
2θ = 29.66°, I = 40
2θ = 36.68°, I = 41
2θ = 44.11°, I = 31
2θ = 48.76°, I = 36

***

(2)
For MgO2F8, a cell relaxed with GGA-PBE gives the computed XRD peak list in this record (Cu Kα, 1.54184 Å).
Kinematic intensities with the Lorentz-polarization factor, no thermal factor.

Structure:
a b c (Å): 7.127 7.127 9.470
angles (deg): 121.84 121.84 60.10
Fractional positions:
Mg: 0.192 0.808 0.750
Mg: 0.808 0.192 0.250
O: 0.231 0.270 0.559
O: 0.270 0.231 0.059
O: 0.730 0.769 0.941
O: 0.769 0.730 0.441
F: 0.085 0.364 0.115
F: 0.109 0.677 0.489
F: 0.122 0.152 0.820
F: 0.152 0.122 0.320
F: 0.280 0.499 0.768
F: 0.323 0.891 0.011
F: 0.364 0.085 0.615
F: 0.499 0.280 0.268
F: 0.501 0.720 0.732
F: 0.636 0.915 0.385
F: 0.677 0.109 0.989
F: 0.720 0.501 0.232
F: 0.848 0.878 0.680
F: 0.878 0.848 0.180
F: 0.891 0.323 0.511
F: 0.915 0.636 0.885

Most intense lines, 10° ≤ 2θ ≤ 90°, sorted by position:
2θ = 15.66°, I = 100
2θ = 19.11°, I = 47
2θ = 22.57°, I = 33
2θ = 25.45°, I = 46
2θ = 25.99°, I = 80
2θ = 31.02°, I = 30
2θ = 38.61°, I = 62
2θ = 40.03°, I = 46
2θ = 44.34°, I = 26
2θ = 53.67°, I = 29

***

(3)
For MgOF3, a cell relaxed with GGA-PBE gives the computed XRD peak list in this record (Cu Kα, 1.54184 Å).
Kinematic intensities with the Lorentz-polarization factor, no thermal factor.

Structure:
a b c (Å): 4.561 5.692 10.091
angles (deg): 90.00 95.57 90.00
Fractional positions:
Mg: 0.004 0.249 0.421
Mg: 0.004 0.751 0.921
Mg: 0.996 0.249 0.079
Mg: 0.996 0.751 0.579
O: 0.130 0.246 0.757
O: 0.130 0.754 0.257
O: 0.870 0.246 0.743
O: 0.870 0.754 0.243
F: 0.210 0.424 0.947
F: 0.210 0.576 0.447
F: 0.222 0.071 0.568
F: 0.222 0.929 0.068
F: 0.242 0.254 0.258
F: 0.242 0.746 0.758
F: 0.758 0.254 0.242
F: 0.758 0.746 0.742
F: 0.778 0.071 0.932
F: 0.778 0.929 0.432
F: 0.790 0.424 0.553
F: 0.790 0.576 0.053

Most intense lines, 10° ≤ 2θ ≤ 90°, sorted by position:
2θ = 19.56°, I = 100
2θ = 29.70°, I = 16
2θ = 31.43°, I = 19
2θ = 31.97°, I = 16
2θ = 35.44°, I = 15
2θ = 36.28°, I = 26
2θ = 37.29°, I = 17
2θ = 38.34°, I = 19
2θ = 48.92°, I = 28
2θ = 53.42°, I = 27

***

(4)
For Mg5Si2O8F2, a cell relaxed with GGA-PBE gives the computed XRD peak list in this record (Cu Kα, 1.54184 Å).
Kinematic intensities with the Lorentz-polarization factor, no thermal factor.

Structure:
a b c (Å): 7.888 4.778 10.369
angles (deg): 90.00 109.24 90.00
Fractional positions:
Mg: 0.000 0.000 0.000
Mg: 0.000 0.500 0.500
Mg: 0.198 0.007 0.328
Mg: 0.198 0.493 0.828
Mg: 0.420 0.008 0.113
Mg: 0.420 0.492 0.613
Mg: 0.580 0.508 0.387
Mg: 0.580 0.992 0.887
Mg: 0.802 0.507 0.172
Mg: 0.802 0.993 0.672
Si: 0.204 0.577 0.144
Si: 0.204 0.923 0.644
Si: 0.796 0.077 0.356
Si: 0.796 0.423 0.856
O: 0.026 0.725 0.168
O: 0.026 0.775 0.668
O: 0.207 0.235 0.145
O: 0.207 0.265 0.645
O: 0.207 0.722 0.999
O: 0.207 0.778 0.499
O: 0.376 0.731 0.260
O: 0.376 0.769 0.760
O: 0.624 0.231 0.240
O: 0.624 0.269 0.740
O: 0.793 0.222 0.501
O: 0.793 0.278 0.001
O: 0.793 0.735 0.355
O: 0.793 0.765 0.855
O: 0.974 0.225 0.332
O: 0.974 0.275 0.832
F: 0.394 0.223 0.940
F: 0.394 0.277 0.440
F: 0.606 0.723 0.560
F: 0.606 0.777 0.060

Most intense lines, 10° ≤ 2θ ≤ 90°, sorted by position:
2θ = 29.39°, I = 58
2θ = 33.25°, I = 60
2θ = 34.07°, I = 77
2θ = 35.41°, I = 60
2θ = 39.55°, I = 57
2θ = 39.67°, I = 99
2θ = 52.11°, I = 100
2θ = 52.16°, I = 59
2θ = 62.09°, I = 72
2θ = 69.30°, I = 49

***

(5)
For MgSiO6F6, a cell relaxed with GGA-PBE gives the computed XRD peak list in this record (Cu Kα, 1.54184 Å).
Kinematic intensities with the Lorentz-polarization factor, no thermal factor.

Structure:
a b c (Å): 5.795 10.976 7.139
angles (deg): 90.00 114.18 90.00
Fractional positions:
Mg: 0.000 0.000 0.000
Mg: 0.000 0.500 0.500
Si: 0.500 0.000 0.000
Si: 0.500 0.500 0.500
O: 0.025 0.193 0.098
O: 0.025 0.307 0.598
O: 0.131 0.733 0.043
O: 0.131 0.767 0.543
O: 0.197 0.639 0.980
O: 0.197 0.861 0.480
O: 0.803 0.139 0.520
O: 0.803 0.361 0.020
O: 0.869 0.233 0.457
O: 0.869 0.267 0.957
O: 0.975 0.693 0.402
O: 0.975 0.807 0.902
F: 0.186 0.015 0.818
F: 0.186 0.485 0.318
F: 0.367 0.523 0.679
F: 0.367 0.977 0.179
F: 0.490 0.649 0.457
F: 0.490 0.851 0.957
F: 0.510 0.149 0.043
F: 0.510 0.351 0.543
F: 0.633 0.023 0.821
F: 0.633 0.477 0.321
F: 0.814 0.515 0.682
F: 0.814 0.985 0.182

Most intense lines, 10° ≤ 2θ ≤ 90°, sorted by position:
2θ = 15.82°, I = 100
2θ = 16.15°, I = 15
2θ = 18.61°, I = 27
2θ = 23.35°, I = 16
2θ = 26.88°, I = 9
2θ = 27.39°, I = 17
2θ = 27.97°, I = 11
2θ = 34.81°, I = 10
2θ = 42.48°, I = 15
2θ = 42.66°, I = 16